Record 1
Computed powder X-ray diffraction pattern
Compound: Tm2AsSe
Radiation: Cu Kα (λ = 1.5418 Å)
Structure: a cell relaxed with PBE
Lines closer than 0.1° are merged.

Cell lengths 4.043, 5.707, 8.108 Å; angles 90.00, 90.00, 90.00 degrees
Positions (direct):
Tm  0.250  0.250  0.116
Tm  0.250  0.250  0.637
Tm  0.750  0.750  0.363
Tm  0.750  0.750  0.884
As  0.250  0.750  0.126
As  0.750  0.250  0.874
Se  0.250  0.750  0.622
Se  0.750  0.250  0.378

Peak list (10 most intense, 10° ≤ 2θ ≤ 90°, low angle first)
- 27.01°, intensity 37
- 31.25°, intensity 100
- 31.35°, intensity 50
- 44.71°, intensity 18
- 44.85°, intensity 93
- 55.62°, intensity 19
- 55.73°, intensity 20
- 74.13°, intensity 24
- 74.28°, intensity 17
- 82.71°, intensity 19


Record 2
Computed powder X-ray diffraction pattern
Compound: PmNdDy2Y6
Radiation: Cu Kα (λ = 1.5418 Å)
Structure: a cell relaxed with PBE
Lines closer than 0.1° are merged.

Cell lengths 8.815, 8.815, 9.685 Å; angles 94.28, 94.28, 117.21 degrees
Positions (direct):
Pm  0.025  0.975  0.750
Pm  0.975  0.025  0.250
Nd  0.408  0.592  0.250
Nd  0.592  0.408  0.750
Dy  0.194  0.295  0.547
Dy  0.295  0.194  0.047
Dy  0.705  0.806  0.953
Dy  0.806  0.705  0.453
Y  0.021  0.570  0.681
Y  0.118  0.751  0.057
Y  0.249  0.882  0.443
Y  0.295  0.510  0.882
Y  0.430  0.979  0.819
Y  0.490  0.705  0.618
Y  0.510  0.295  0.382
Y  0.570  0.021  0.181
Y  0.705  0.490  0.118
Y  0.751  0.118  0.557
Y  0.882  0.249  0.943
Y  0.979  0.430  0.319

Peak list (10 most intense, 10° ≤ 2θ ≤ 90°, low angle first)
- 11.76°, intensity 21
- 27.71°, intensity 24
- 28.50°, intensity 37
- 30.22°, intensity 44
- 30.39°, intensity 44
- 31.33°, intensity 100
- 31.42°, intensity 36
- 32.29°, intensity 28
- 33.14°, intensity 26
- 33.52°, intensity 36


Record 3
Computed powder X-ray diffraction pattern
Compound: In4Bi2Pb9
Radiation: Cu Kα (λ = 1.5418 Å)
Structure: a cell relaxed with PBE
Lines closer than 0.1° are merged.

Cell lengths 5.304, 5.891, 16.768 Å; angles 82.90, 80.94, 63.25 degrees
Positions (direct):
In  0.165  0.304  0.368
In  0.165  0.499  0.170
In  0.835  0.501  0.830
In  0.835  0.696  0.632
Bi  0.167  0.898  0.768
Bi  0.833  0.102  0.232
Pb  0.165  0.101  0.568
Pb  0.167  0.697  0.968
Pb  0.497  0.905  0.101
Pb  0.498  0.704  0.301
Pb  0.500  0.500  0.500
Pb  0.502  0.296  0.699
Pb  0.503  0.095  0.899
Pb  0.833  0.303  0.032
Pb  0.835  0.899  0.432

Peak list (10 most intense, 10° ≤ 2θ ≤ 90°, low angle first)
- 31.25°, intensity 100
- 33.80°, intensity 20
- 35.90°, intensity 17
- 38.87°, intensity 14
- 50.13°, intensity 14
- 52.44°, intensity 12
- 58.88°, intensity 17
- 61.58°, intensity 7
- 61.69°, intensity 7
- 65.26°, intensity 6


Record 4
Computed powder X-ray diffraction pattern
Compound: Zr3Cd2O
Radiation: Cu Kα (λ = 1.5418 Å)
Structure: a cell relaxed with PBE
Lines closer than 0.1° are merged.

Cell lengths 7.595, 7.595, 7.595 Å; angles 90.00, 90.00, 90.00 degrees
Positions (direct):
Zr  0.040  0.125  0.790
Zr  0.125  0.790  0.040
Zr  0.210  0.540  0.375
Zr  0.290  0.460  0.875
Zr  0.375  0.210  0.540
Zr  0.460  0.875  0.290
Zr  0.540  0.375  0.210
Zr  0.625  0.710  0.960
Zr  0.710  0.960  0.625
Zr  0.790  0.040  0.125
Zr  0.875  0.290  0.460
Zr  0.960  0.625  0.710
Cd  0.069  0.931  0.431
Cd  0.181  0.181  0.181
Cd  0.319  0.819  0.681
Cd  0.431  0.069  0.931
Cd  0.569  0.569  0.569
Cd  0.681  0.319  0.819
Cd  0.819  0.681  0.319
Cd  0.931  0.431  0.069
O  0.125  0.375  0.625
O  0.375  0.625  0.125
O  0.625  0.125  0.375
O  0.875  0.875  0.875

Peak list (10 most intense, 10° ≤ 2θ ≤ 90°, low angle first)
- 35.46°, intensity 100
- 37.45°, intensity 55
- 39.35°, intensity 21
- 44.64°, intensity 14
- 51.02°, intensity 5
- 54.00°, intensity 7
- 62.34°, intensity 26
- 63.67°, intensity 7
- 66.27°, intensity 25
- 75.04°, intensity 9


Record 5
Computed powder X-ray diffraction pattern
Compound: SmAlGa4Pd2
Radiation: Cu Kα (λ = 1.5418 Å)
Structure: a cell relaxed with PBE
Lines closer than 0.1° are merged.

Cell lengths 8.942, 8.942, 8.942 Å; angles 28.59, 28.59, 28.59 degrees
Positions (direct):
Sm  0.000  0.000  0.000
Al  0.500  0.500  0.500
Ga  0.125  0.125  0.125
Ga  0.396  0.396  0.396
Ga  0.604  0.604  0.604
Ga  0.875  0.875  0.875
Pd  0.237  0.237  0.237
Pd  0.763  0.763  0.763

Peak list (10 most intense, 10° ≤ 2θ ≤ 90°, low angle first)
- 23.52°, intensity 14
- 29.10°, intensity 32
- 36.52°, intensity 94
- 40.87°, intensity 100
- 52.37°, intensity 11
- 55.95°, intensity 27
- 66.48°, intensity 9
- 71.58°, intensity 25
- 74.41°, intensity 20
- 88.57°, intensity 13


Record 6
Computed powder X-ray diffraction pattern
Compound: Zr5Zn
Radiation: Cu Kα (λ = 1.5418 Å)
Structure: a cell relaxed with PBE
Lines closer than 0.1° are merged.

Cell lengths 10.222, 4.054, 6.643 Å; angles 90.00, 109.74, 90.00 degrees
Positions (direct):
Zr  0.000  0.000  0.000
Zr  0.159  0.500  0.347
Zr  0.166  0.500  0.825
Zr  0.334  0.000  0.175
Zr  0.341  0.000  0.653
Zr  0.500  0.500  0.000
Zr  0.659  0.000  0.347
Zr  0.666  0.000  0.825
Zr  0.834  0.500  0.175
Zr  0.841  0.500  0.653
Zn  0.000  0.000  0.500
Zn  0.500  0.500  0.500

Peak list (10 most intense, 10° ≤ 2θ ≤ 90°, low angle first)
- 34.92°, intensity 100
- 35.70°, intensity 95
- 38.77°, intensity 36
- 39.32°, intensity 36
- 44.71°, intensity 25
- 60.63°, intensity 19
- 61.03°, intensity 19
- 67.22°, intensity 12
- 67.98°, intensity 13
- 69.42°, intensity 13


Record 7
Computed powder X-ray diffraction pattern
Compound: Cs2In2Au
Radiation: Cu Kα (λ = 1.5418 Å)
Structure: a cell relaxed with PBE
Lines closer than 0.1° are merged.

Cell lengths 7.834, 7.834, 13.373 Å; angles 118.19, 118.19, 36.18 degrees
Positions (direct):
Cs  0.018  0.018  0.159
Cs  0.212  0.212  0.617
Cs  0.788  0.788  0.383
Cs  0.982  0.982  0.841
In  0.289  0.289  0.938
In  0.496  0.496  0.384
In  0.504  0.504  0.616
In  0.711  0.711  0.062
Au  0.316  0.316  0.168
Au  0.684  0.684  0.832

Peak list (10 most intense, 10° ≤ 2θ ≤ 90°, low angle first)
- 11.91°, intensity 62
- 25.77°, intensity 100
- 26.92°, intensity 26
- 27.55°, intensity 63
- 29.43°, intensity 56
- 30.82°, intensity 25
- 36.96°, intensity 42
- 42.66°, intensity 38
- 47.93°, intensity 29
- 49.65°, intensity 27


Record 8
Computed powder X-ray diffraction pattern
Compound: CaH
Radiation: Cu Kα (λ = 1.5418 Å)
Structure: a cell relaxed with PBE
Lines closer than 0.1° are merged.

Cell lengths 3.693, 6.415, 5.737 Å; angles 90.00, 90.00, 90.00 degrees
Positions (direct):
Ca  0.000  0.166  0.250
Ca  0.000  0.834  0.750
Ca  0.500  0.334  0.750
Ca  0.500  0.666  0.250
H  0.000  0.500  0.000
H  0.000  0.500  0.500
H  0.500  0.000  0.000
H  0.500  0.000  0.500

Peak list (10 most intense, 10° ≤ 2θ ≤ 90°, low angle first)
- 27.86°, intensity 21
- 31.18°, intensity 22
- 32.00°, intensity 100
- 42.30°, intensity 16
- 49.24°, intensity 12
- 56.01°, intensity 17
- 59.48°, intensity 18
- 60.02°, intensity 9
- 81.15°, intensity 7
- 85.73°, intensity 6


Record 9
Computed powder X-ray diffraction pattern
Compound: Ca4Tl7In
Radiation: Cu Kα (λ = 1.5418 Å)
Structure: a cell relaxed with PBE
Lines closer than 0.1° are merged.

Cell lengths 5.663, 7.695, 9.034 Å; angles 112.11, 90.48, 90.55 degrees
Positions (direct):
Ca  0.248  0.411  0.308
Ca  0.249  0.903  0.273
Ca  0.751  0.097  0.727
Ca  0.752  0.589  0.692
Tl  0.000  0.500  0.000
Tl  0.250  0.798  0.609
Tl  0.253  0.073  0.957
Tl  0.255  0.294  0.636
Tl  0.745  0.706  0.364
Tl  0.747  0.927  0.043
Tl  0.750  0.202  0.391
In  0.500  0.500  0.000

Peak list (10 most intense, 10° ≤ 2θ ≤ 90°, low angle first)
- 19.04°, intensity 35
- 23.15°, intensity 77
- 30.51°, intensity 100
- 30.74°, intensity 30
- 31.60°, intensity 34
- 32.09°, intensity 45
- 34.26°, intensity 26
- 34.45°, intensity 35
- 34.90°, intensity 26
- 35.71°, intensity 27


Record 10
Computed powder X-ray diffraction pattern
Compound: TmThSb2N
Radiation: Cu Kα (λ = 1.5418 Å)
Structure: a cell relaxed with PBE
Lines closer than 0.1° are merged.

Cell lengths 4.149, 4.149, 14.715 Å; angles 90.00, 90.00, 90.00 degrees
Positions (direct):
Tm  0.250  0.250  0.071
Tm  0.750  0.750  0.929
Th  0.250  0.250  0.576
Th  0.750  0.750  0.424
Sb  0.250  0.250  0.275
Sb  0.250  0.250  0.862
Sb  0.750  0.750  0.138
Sb  0.750  0.750  0.725
N  0.250  0.750  0.500
N  0.750  0.250  0.500

Peak list (10 most intense, 10° ≤ 2θ ≤ 90°, low angle first)
- 24.63°, intensity 21
- 28.17°, intensity 33
- 30.47°, intensity 98
- 32.53°, intensity 100
- 43.63°, intensity 41
- 48.37°, intensity 22
- 55.47°, intensity 45
- 67.54°, intensity 19
- 71.98°, intensity 17
- 83.93°, intensity 21


Record 11
Computed powder X-ray diffraction pattern
Compound: TmTh3Rh12
Radiation: Cu Kα (λ = 1.5418 Å)
Structure: a cell relaxed with PBE
Lines closer than 0.1° are merged.

Cell lengths 4.103, 4.103, 16.419 Å; angles 90.00, 90.00, 90.00 degrees
Positions (direct):
Tm  0.000  0.000  0.000
Th  0.000  0.000  0.246
Th  0.000  0.000  0.500
Th  0.000  0.000  0.754
Rh  0.000  0.500  0.120
Rh  0.000  0.500  0.373
Rh  0.000  0.500  0.627
Rh  0.000  0.500  0.880
Rh  0.500  0.000  0.120
Rh  0.500  0.000  0.373
Rh  0.500  0.000  0.627
Rh  0.500  0.000  0.880
Rh  0.500  0.500  0.000
Rh  0.500  0.500  0.247
Rh  0.500  0.500  0.500
Rh  0.500  0.500  0.753

Peak list (10 most intense, 10° ≤ 2θ ≤ 90°, low angle first)
- 21.66°, intensity 11
- 30.81°, intensity 10
- 37.98°, intensity 100
- 44.14°, intensity 49
- 49.68°, intensity 6
- 54.79°, intensity 4
- 64.19°, intensity 32
- 68.61°, intensity 3
- 77.08°, intensity 37
- 81.20°, intensity 11


Record 12
Computed powder X-ray diffraction pattern
Compound: LiHRh
Radiation: Cu Kα (λ = 1.5418 Å)
Structure: a cell relaxed with PBE
Lines closer than 0.1° are merged.

Cell lengths 2.880, 4.278, 4.920 Å; angles 90.00, 90.00, 90.00 degrees
Positions (direct):
Li  0.000  0.006  0.000
Li  0.500  0.994  0.500
H  0.000  0.329  0.332
H  0.500  0.671  0.832
Rh  0.000  0.503  0.670
Rh  0.500  0.497  0.170

Peak list (10 most intense, 10° ≤ 2θ ≤ 90°, low angle first)
- 20.76°, intensity 100
- 36.14°, intensity 49
- 36.52°, intensity 24
- 42.04°, intensity 70
- 42.25°, intensity 18
- 42.38°, intensity 35
- 56.78°, intensity 26
- 65.48°, intensity 14
- 69.52°, intensity 13
- 80.45°, intensity 16